Starting from a crystal structure in the Materials Project, relaxed with GGA-PBE, the powder XRD pattern of Eu2Si4IrPd3 was computed for CuKα.

Most intense lines, 5° ≤ 2θ ≤ 70°, low angle first:
hkl 1 0 1, 2θ = 22.8°, rel. 23
hkl 1 0 3, 2θ = 33.9°, rel. 24
hkl 1 1 2, 2θ = 34.9°, rel. 100
hkl 0 0 4, 2θ = 35.3°, rel. 18
hkl 2 0 0, 2θ = 42.9°, rel. 36
hkl 2 0 4, 2θ = 56.7°, rel. 18
hkl 2 2 0, 2θ = 62.3°, rel. 12
hkl 1 1 6, 2θ = 63.1°, rel. 17

Crystal structure
Lattice parameters (Å, degrees): 4.216 4.216 10.163 90.00 90.00 90.00
Space group P-4m2 (No. 115)
Symmetry-distinct sites (fractional):
Eu: 0.000 0.500 0.250 [2 per cell]
Si: 0.000 0.500 0.627 [2 per cell]
Si: 0.000 0.500 0.871 [2 per cell]
Ir: 0.000 0.000 0.500 [1 per cell]
Pd: 0.000 0.000 0.000 [1 per cell]
Pd: 0.500 0.500 0.000 [1 per cell]
Pd: 0.500 0.500 0.500 [1 per cell]